# Y2ScRe
Calculated XRD peak list, λ = 1.5418 Å (Cu Kα). Input: a GGA-PBE-relaxed structure.
No peak broadening, texture or thermal motion is included.

Largest 10 diffraction maxima, in order of rising 2θ, 2θ from 15° to 90°:
| 2θ (°) | I_rel |
| --- | --- |
| 20.3 | 21 |
| 26.3 | 13 |
| 33.5 | 100 |
| 37.6 | 47 |
| 40.8 | 24 |
| 43.1 | 12 |
| 49.6 | 17 |
| 54.2 | 16 |
| 65.2 | 28 |
| 76.5 | 16 |

```
data_Y2ScRe
_cell_length_a 3.384
_cell_length_b 3.384
_cell_length_c 8.757
_cell_angle_alpha 90.00
_cell_angle_beta 90.00
_cell_angle_gamma 90.00
_space_group_name_H-M_alt 'P 1'
_space_group_IT_number 1
loop_
_space_group_symop_operation_xyz
'x,y,z'
loop_
_atom_site_label
_atom_site_fract_x
_atom_site_fract_y
_atom_site_fract_z
_atom_site_occupancy
Y1 0.000 0.000 0.000 1
Y2 0.500 0.500 0.338 1
Sc1 0.500 0.500 0.703 1
Re1 0.000 0.000 0.539 1
```

---

# ZrSc4Re
Calculated XRD peak list, λ = 1.5418 Å (Cu Kα). Input: a GGA-PBE-relaxed structure.
No peak broadening, texture or thermal motion is included.

Largest 10 diffraction maxima, in order of rising 2θ, 2θ from 15° to 90°:
| 2θ (°) | I_rel |
| --- | --- |
| 19.3 | 30 |
| 31.8 | 70 |
| 37.5 | 100 |
| 39.3 | 14 |
| 50.0 | 8 |
| 56.7 | 27 |
| 60.5 | 32 |
| 66.5 | 21 |
| 75.7 | 12 |
| 79.0 | 11 |

```
data_ZrSc4Re
_cell_length_a 5.622
_cell_length_b 5.622
_cell_length_c 5.622
_cell_angle_alpha 60.00
_cell_angle_beta 60.00
_cell_angle_gamma 60.00
_space_group_name_H-M_alt 'P 1'
_space_group_IT_number 1
loop_
_space_group_symop_operation_xyz
'x,y,z'
loop_
_atom_site_label
_atom_site_fract_x
_atom_site_fract_y
_atom_site_fract_z
_atom_site_occupancy
Zr1 0.000 0.000 0.000 1
Sc1 0.376 0.376 0.376 1
Sc2 0.376 0.376 0.872 1
Sc3 0.376 0.872 0.376 1
Sc4 0.872 0.376 0.376 1
Re1 0.750 0.750 0.750 1
```

---

# ReSe5
Calculated XRD peak list, λ = 1.5418 Å (Cu Kα). Input: a GGA-PBE-relaxed structure.
No peak broadening, texture or thermal motion is included.

Largest 10 diffraction maxima, in order of rising 2θ, 2θ from 15° to 90°:
| 2θ (°) | I_rel |
| --- | --- |
| 33.4 | 100 |
| 35.9 | 27 |
| 37.9 | 22 |
| 38.1 | 40 |
| 38.6 | 28 |
| 39.6 | 18 |
| 40.5 | 18 |
| 42.7 | 54 |
| 48.3 | 30 |
| 53.2 | 26 |

```
data_ReSe5
_cell_length_a 15.105
_cell_length_b 3.299
_cell_length_c 6.894
_cell_angle_alpha 90.00
_cell_angle_beta 114.15
_cell_angle_gamma 90.00
_space_group_name_H-M_alt 'P 1'
_space_group_IT_number 1
loop_
_space_group_symop_operation_xyz
'x,y,z'
loop_
_atom_site_label
_atom_site_fract_x
_atom_site_fract_y
_atom_site_fract_z
_atom_site_occupancy
Re1 0.000 0.000 0.000 1
Re2 0.500 0.500 0.000 1
Se1 0.122 0.500 0.330 1
Se2 0.125 0.500 0.985 1
Se3 0.374 0.000 0.765 1
Se4 0.379 0.000 0.118 1
Se5 0.499 0.500 0.613 1
Se6 0.622 0.000 0.330 1
Se7 0.625 0.000 0.985 1
Se8 0.874 0.500 0.765 1
Se9 0.879 0.500 0.118 1
Se10 0.999 0.000 0.613 1
```

---

# Re7Se
Calculated XRD peak list, λ = 1.5418 Å (Cu Kα). Input: a GGA-PBE-relaxed structure.
No peak broadening, texture or thermal motion is included.

Largest 10 diffraction maxima, in order of rising 2θ, 2θ from 15° to 90°:
| 2θ (°) | I_rel |
| --- | --- |
| 19.5 | 3 |
| 22.6 | 2 |
| 32.2 | 2 |
| 37.9 | 2 |
| 39.7 | 100 |
| 46.1 | 49 |
| 50.5 | 1 |
| 67.3 | 32 |
| 81.0 | 39 |
| 85.4 | 11 |

```
data_Re7Se
_cell_length_a 5.568
_cell_length_b 5.568
_cell_length_c 5.568
_cell_angle_alpha 60.00
_cell_angle_beta 60.00
_cell_angle_gamma 60.00
_space_group_name_H-M_alt 'P 1'
_space_group_IT_number 1
loop_
_space_group_symop_operation_xyz
'x,y,z'
loop_
_atom_site_label
_atom_site_fract_x
_atom_site_fract_y
_atom_site_fract_z
_atom_site_occupancy
Re1 0.000 0.000 0.000 1
Re2 0.000 0.000 0.500 1
Re3 0.000 0.500 0.000 1
Re4 0.000 0.500 0.500 1
Re5 0.500 0.000 0.000 1
Re6 0.500 0.000 0.500 1
Re7 0.500 0.500 0.000 1
Se1 0.500 0.500 0.500 1
```

---

# Re5Se
Calculated XRD peak list, λ = 1.5418 Å (Cu Kα). Input: a GGA-PBE-relaxed structure.
No peak broadening, texture or thermal motion is included.

Largest 10 diffraction maxima, in order of rising 2θ, 2θ from 15° to 90°:
| 2θ (°) | I_rel |
| --- | --- |
| 16.5 | 3 |
| 35.1 | 4 |
| 39.9 | 100 |
| 44.1 | 39 |
| 50.9 | 12 |
| 64.1 | 13 |
| 69.6 | 19 |
| 78.3 | 31 |
| 86.2 | 11 |
| 88.4 | 9 |

```
data_Re5Se
_cell_length_a 2.904
_cell_length_b 2.904
_cell_length_c 10.763
_cell_angle_alpha 90.00
_cell_angle_beta 90.00
_cell_angle_gamma 90.00
_space_group_name_H-M_alt 'P 1'
_space_group_IT_number 1
loop_
_space_group_symop_operation_xyz
'x,y,z'
loop_
_atom_site_label
_atom_site_fract_x
_atom_site_fract_y
_atom_site_fract_z
_atom_site_occupancy
Re1 0.000 0.000 0.000 1
Re2 0.000 0.000 0.340 1
Re3 0.000 0.000 0.660 1
Re4 0.500 0.500 0.177 1
Re5 0.500 0.500 0.823 1
Se1 0.500 0.500 0.500 1
```

---

# SmRe4Se7
Calculated XRD peak list, λ = 1.5418 Å (Cu Kα). Input: a GGA-PBE-relaxed structure.
No peak broadening, texture or thermal motion is included.

Largest 10 diffraction maxima, in order of rising 2θ, 2θ from 15° to 90°:
| 2θ (°) | I_rel |
| --- | --- |
| 21.5 | 100 |
| 24.0 | 51 |
| 29.7 | 54 |
| 37.0 | 36 |
| 37.3 | 43 |
| 38.7 | 48 |
| 39.6 | 88 |
| 41.0 | 78 |
| 42.2 | 69 |
| 42.7 | 47 |

```
data_SmRe4Se7
_cell_length_a 4.866
_cell_length_b 17.135
_cell_length_c 6.018
_cell_angle_alpha 90.00
_cell_angle_beta 90.38
_cell_angle_gamma 90.00
_space_group_name_H-M_alt 'P 1'
_space_group_IT_number 1
loop_
_space_group_symop_operation_xyz
'x,y,z'
loop_
_atom_site_label
_atom_site_fract_x
_atom_site_fract_y
_atom_site_fract_z
_atom_site_occupancy
Sm1 0.000 0.000 0.000 1
Sm2 0.424 0.500 0.598 1
Re1 0.488 0.245 0.118 1
Re2 0.488 0.755 0.118 1
Re3 0.652 0.148 0.493 1
Re4 0.652 0.852 0.493 1
Re5 0.842 0.361 0.129 1
Re6 0.842 0.639 0.129 1
Re7 0.950 0.244 0.810 1
Re8 0.950 0.756 0.810 1
Se1 0.122 0.118 0.649 1
Se2 0.122 0.882 0.649 1
Se3 0.352 0.379 0.239 1
Se4 0.352 0.621 0.239 1
Se5 0.462 0.263 0.690 1
Se6 0.462 0.737 0.690 1
Se7 0.501 0.096 0.118 1
Se8 0.501 0.904 0.118 1
Se9 0.602 0.000 0.632 1
Se10 0.887 0.500 0.290 1
Se11 0.931 0.393 0.741 1
Se12 0.931 0.607 0.741 1
Se13 0.984 0.226 0.222 1
Se14 0.984 0.774 0.222 1
```